1.
Simulated powder diffractogram of HoBi12O20 for CuKα, from a cell relaxed with GGA-PBE.
Kinematic intensities with the Lorentz-polarization factor, no thermal factor.

Principal peaks in the range 10° ≤ 2θ ≤ 90°, most intense first:
2θ 27.25, I = 100, (3 0 1); 2θ 32.37, I = 70, (3 1 2); 2θ 51.49, I = 42, (5 3 0); 2θ 54.67, I = 31, (5 2 3); 2θ 29.91, I = 25, (2 2 2); 2θ 60.69, I = 21, (6 1 3)

Cell lengths 10.3492, 10.3492, 10.3492 Å; angles 90.00, 90.00, 90.00 degrees
Space group I23 (No. 197)
One atom of each set of equivalent atoms:
Ho 0.0000 0.0000 0.0000 x2
Bi 0.0074 0.3177 0.8233 x24
O 0.0093 0.2548 0.3691 x24
O 0.1209 0.1209 0.1209 x8
O 0.1774 0.1774 0.8226 x8



2.
Simulated powder diffractogram of Rb2NaTaF6 for CuKα, from a cell relaxed with GGA-PBE.
Kinematic intensities with the Lorentz-polarization factor, no thermal factor.

Principal peaks in the range 10° ≤ 2θ ≤ 90°, most intense first:
2θ 28.62, I = 100, (2 2 0); 2θ 17.41, I = 51, (1 1 1); 2θ 50.70, I = 41, (4 2 2); 2θ 40.93, I = 40, (4 0 0); 2θ 33.70, I = 26, (3 1 1); 2θ 59.26, I = 25, (4 4 0)

Cell lengths 8.8206, 8.8206, 8.8206 Å; angles 90.00, 90.00, 90.00 degrees
Space group Fm-3m (No. 225)
One atom of each set of equivalent atoms:
Rb 0.2500 0.2500 0.2500 x8
Na 0.0000 0.0000 0.0000 x4
Ta 0.0000 0.0000 0.5000 x4
F 0.0000 0.0000 0.2618 x24



3.
Simulated powder diffractogram of Pd7Se4 for CuKα, from a cell relaxed with GGA-PBE.
Kinematic intensities with the Lorentz-polarization factor, no thermal factor.

Principal peaks in the range 10° ≤ 2θ ≤ 90°, most intense first:
2θ 33.36, I = 100, (1 3 1); 2θ 42.98, I = 65, (2 1 2); 2θ 31.54, I = 61, (2 1 1); 2θ 44.40, I = 58, (1 3 2); 2θ 35.04, I = 55, (2 2 1); 2θ 45.73, I = 38, (2 2 2)

Cell lengths 7.0243, 10.3210, 5.4350 Å; angles 90.00, 90.00, 90.00 degrees
Space group P2_12_12 (No. 18)
One atom of each set of equivalent atoms:
Pd 0.0000 0.0000 0.1759 x2
Pd 0.0842 0.2256 0.4964 x4
Pd 0.1280 0.6312 0.8381 x4
Pd 0.1889 0.4162 0.1508 x4
Se 0.0000 0.0000 0.6703 x2
Se 0.0000 0.5000 0.5008 x2
Se 0.1759 0.7793 0.1827 x4



4.
Simulated powder diffractogram of K2HfF6 for CuKα, from a cell relaxed with GGA-PBE.
Kinematic intensities with the Lorentz-polarization factor, no thermal factor.

Principal peaks in the range 10° ≤ 2θ ≤ 90°, most intense first:
2θ 16.80, I = 100, (1 0 1); 2θ 27.85, I = 29, (1 1 2); 2θ 27.12, I = 29, (2 0 0); 2θ 32.08, I = 22, (2 1 1); 2θ 48.37, I = 18, (3 1 2); 2θ 33.32, I = 15, (1 0 3)

Cell lengths 6.5756, 6.5756, 8.8413 Å; angles 90.00, 90.00, 90.00 degrees
Space group P4/mnc (No. 128)
One atom of each set of equivalent atoms:
K 0.0000 0.5000 0.2500 x4
Hf 0.0000 0.0000 0.0000 x2
F 0.0000 0.0000 0.2267 x4
F 0.1027 0.2881 0.0000 x8



5.
Simulated powder diffractogram of CaBO3 for CuKα, from a cell relaxed with GGA-PBE.
Kinematic intensities with the Lorentz-polarization factor, no thermal factor.

Principal peaks in the range 10° ≤ 2θ ≤ 90°, most intense first:
2θ 29.31, I = 100, (1 1 0); 2θ 49.75, I = 28, (2 0 0); 2θ 40.88, I = 26, (0 0 3); 2θ 42.94, I = 24, (1 2 -1); 2θ 31.57, I = 22, (0 1 2); 2θ 26.93, I = 18, (0 0 2)

Cell lengths 3.6734, 5.4795, 6.6347 Å; angles 90.00, 93.50, 90.00 degrees
Space group P2_1/m (No. 11)
One atom of each set of equivalent atoms:
Ca 0.2405 0.2500 0.3253 x2
B 0.2334 0.2500 0.7770 x2
O 0.1469 0.2500 0.9734 x2
O 0.2650 0.0316 0.6777 x4



6.
Simulated powder diffractogram of Eu2GeSe4 for CuKα, from a cell relaxed with GGA-PBE.
Kinematic intensities with the Lorentz-polarization factor, no thermal factor.

Principal peaks in the range 10° ≤ 2θ ≤ 90°, most intense first:
2θ 33.89, I = 100, (1 2 -2); 2θ 31.97, I = 76, (1 1 2); 2θ 31.83, I = 75, (2 1 -2); 2θ 37.17, I = 59, (2 2 0); 2θ 25.36, I = 58, (0 2 0); 2θ 29.26, I = 51, (1 0 2)

Cell lengths 7.0089, 7.0237, 8.4323 Å; angles 90.00, 107.81, 90.00 degrees
Space group P2_1/m (No. 11)
One atom of each set of equivalent atoms:
Eu 0.2284 0.2500 0.0563 x2
Eu 0.2518 0.2500 0.5633 x2
Ge 0.2307 0.7500 0.8033 x2
Se 0.0015 0.5087 0.2577 x4
Se 0.4137 0.7500 0.0928 x2
Se 0.4247 0.7500 0.6145 x2



7.
Simulated powder diffractogram of NdCoSi2 for CuKα, from a cell relaxed with GGA-PBE.
Kinematic intensities with the Lorentz-polarization factor, no thermal factor.

Principal peaks in the range 10° ≤ 2θ ≤ 90°, most intense first:
2θ 34.93, I = 100, (1 5 0); 2θ 31.21, I = 46, (1 1 1); 2θ 39.83, I = 23, (0 6 1); 2θ 43.46, I = 20, (2 0 0); 2θ 57.79, I = 20, (1 5 2); 2θ 44.52, I = 19, (0 0 2)

Cell lengths 4.1645, 16.3363, 4.0700 Å; angles 90.00, 90.00, 90.00 degrees
Space group Cmcm (No. 63)
One atom of each set of equivalent atoms:
Nd 0.0000 0.1068 0.2500 x4
Co 0.0000 0.3180 0.2500 x4
Si 0.0000 0.2497 0.7500 x4
Si 0.0000 0.4564 0.2500 x4



8.
Simulated powder diffractogram of Mg6AlBO8 for CuKα, from a cell relaxed with GGA-PBE.
Kinematic intensities with the Lorentz-polarization factor, no thermal factor.

Principal peaks in the range 10° ≤ 2θ ≤ 90°, most intense first:
2θ 43.28, I = 100, (2 0 0); 2θ 61.24, I = 54, (2 0 4); 2θ 41.13, I = 52, (0 0 4); 2θ 62.87, I = 28, (2 2 0); 2θ 77.92, I = 24, (2 2 4); 2θ 36.65, I = 13, (1 1 2)

Cell lengths 4.1811, 4.1811, 8.7781 Å; angles 90.00, 90.00, 90.00 degrees
Space group P4/mmm (No. 123)
One atom of each set of equivalent atoms:
Mg 0.0000 0.0000 0.0000 x1
Mg 0.0000 0.0000 0.5000 x1
Mg 0.0000 0.5000 0.2416 x4
Al 0.5000 0.5000 0.5000 x1
B 0.5000 0.5000 0.0000 x1
O 0.0000 0.0000 0.2495 x2
O 0.0000 0.5000 0.0000 x2
O 0.0000 0.5000 0.5000 x2
O 0.5000 0.5000 0.2932 x2



9.
Simulated powder diffractogram of TiFe4 for CuKα, from a cell relaxed with GGA-PBE.
Kinematic intensities with the Lorentz-polarization factor, no thermal factor.

Principal peaks in the range 10° ≤ 2θ ≤ 90°, most intense first:
2θ 43.12, I = 100, (1 1 5); 2θ 48.22, I = 16, (0 0 10); 2θ 51.08, I = 15, (0 2 0); 2θ 51.29, I = 15, (2 0 0); 2θ 86.41, I = 9, (1 1 15); 2θ 75.31, I = 9, (2 2 0)

Cell lengths 3.5625, 3.5759, 18.8738 Å; angles 90.00, 90.00, 90.00 degrees
Space group Fmmm (No. 69)
One atom of each set of equivalent atoms:
Ti 0.0000 0.0000 0.0000 x4
Fe 0.0000 0.0000 0.2002 x8
Fe 0.0000 0.0000 0.3909 x8



10.
Simulated powder diffractogram of Ho2Fe12P7 for CuKα, from a cell relaxed with GGA-PBE.
Kinematic intensities with the Lorentz-polarization factor, no thermal factor.

Principal peaks in the range 10° ≤ 2θ ≤ 90°, most intense first:
2θ 39.46, I = 100, (1 2 1); 2θ 50.19, I = 17, (0 0 2); 2θ 54.12, I = 16, (4 1 0); 2θ 27.08, I = 14, (1 0 1); 2θ 57.61, I = 12, (2 3 1); 2θ 34.65, I = 11, (3 0 0)

Cell lengths 8.9677, 8.9677, 3.6356 Å; angles 90.00, 90.00, 120.00 degrees
Space group P-6 (No. 174)
One atom of each set of equivalent atoms:
Ho 0.0000 0.0000 0.0000 x1
Ho 0.3333 0.6667 0.5000 x1
Fe 0.0505 0.7658 0.5000 x3
Fe 0.0949 0.3888 0.0000 x3
Fe 0.3919 0.2137 0.0000 x3
Fe 0.5457 0.1153 0.5000 x3
P 0.0769 0.6293 0.0000 x3
P 0.2647 0.0439 0.5000 x3
P 0.6667 0.3333 0.0000 x1



11.
Simulated powder diffractogram of Nb8PtSe20 for CuKα, from a cell relaxed with GGA-PBE.
Kinematic intensities with the Lorentz-polarization factor, no thermal factor.

Principal peaks in the range 10° ≤ 2θ ≤ 90°, most intense first:
2θ 14.51, I = 100, (2 0 2); 2θ 33.68, I = 57, (5 1 -1); 2θ 36.56, I = 47, (2 0 -8); 2θ 11.07, I = 45, (2 0 1); 2θ 42.24, I = 43, (7 1 1); 2θ 43.56, I = 40, (1 1 7)

Cell lengths 20.7345, 3.4749, 19.6730 Å; angles 90.00, 105.62, 90.00 degrees
Space group C2/m (No. 12)
One atom of each set of equivalent atoms:
Nb 0.0772 0.0000 0.4095 x4
Nb 0.1524 0.0000 0.9427 x4
Nb 0.1693 0.5000 0.3109 x4
Nb 0.2333 0.5000 0.7800 x4
Pt 0.0000 0.5000 0.5000 x2
Se 0.0204 0.5000 0.6299 x4
Se 0.0538 0.5000 0.8891 x4
Se 0.0712 0.0000 0.2738 x4
Se 0.0970 0.5000 0.0141 x4
Se 0.1209 0.5000 0.5109 x4
Se 0.1435 0.0000 0.8023 x4
Se 0.1683 0.5000 0.1765 x4
Se 0.2022 0.0000 0.6760 x4
Se 0.2041 0.0000 0.4131 x4
Se 0.2458 0.5000 0.9282 x4



Copy entry 3 word for word.
Simulated powder diffractogram of Pd7Se4 for CuKα, from a cell relaxed with GGA-PBE.
Kinematic intensities with the Lorentz-polarization factor, no thermal factor.

Principal peaks in the range 10° ≤ 2θ ≤ 90°, most intense first:
2θ 33.36, I = 100, (1 3 1); 2θ 42.98, I = 65, (2 1 2); 2θ 31.54, I = 61, (2 1 1); 2θ 44.40, I = 58, (1 3 2); 2θ 35.04, I = 55, (2 2 1); 2θ 45.73, I = 38, (2 2 2)

Cell lengths 7.0243, 10.3210, 5.4350 Å; angles 90.00, 90.00, 90.00 degrees
Space group P2_12_12 (No. 18)
One atom of each set of equivalent atoms:
Pd 0.0000 0.0000 0.1759 x2
Pd 0.0842 0.2256 0.4964 x4
Pd 0.1280 0.6312 0.8381 x4
Pd 0.1889 0.4162 0.1508 x4
Se 0.0000 0.0000 0.6703 x2
Se 0.0000 0.5000 0.5008 x2
Se 0.1759 0.7793 0.1827 x4